Diffraction record for Pm3Ga6Ni5. The PXRD pattern is calculated, not measured: it uses a structure optimized by DFT (GGA-PBE) and copper Kα.

Crystal structure
Lattice parameters (Å, degrees): 4.165 12.701 8.987 90.00 90.00 90.00
Space group Pmmn (No. 59, origin choice 2)
Symmetry-distinct sites (fractional):
Pm 0.250 0.051 0.248 x4
Pm 0.250 0.750 0.262 x2
Ga 0.250 0.075 0.591 x4
Ga 0.250 0.250 0.035 x2
Ga 0.250 0.250 0.417 x2
Ga 0.250 0.601 0.982 x4
Ni 0.250 0.091 0.871 x4
Ni 0.250 0.640 0.543 x4
Ni 0.250 0.750 0.785 x2

Most intense lines, 10° ≤ 2θ ≤ 90°, sorted by position:
2θ = 30.1°, I 267, hkl 1 3 0; 2θ = 34.6°, I 216, hkl 0 4 2; 2θ = 36.3°, I 1000, hkl 1 3 2; 2θ = 36.8°, I 375, hkl 0 3 3; 2θ = 37.0°, I 665, hkl 1 0 3; 2θ = 39.7°, I 241, hkl 1 2 3; 2θ = 42.7°, I 201, hkl 0 6 0; 2θ = 43.4°, I 465, hkl 2 0 0; 2θ = 58.2°, I 197, hkl 2 3 3; 2θ = 70.4°, I 229, hkl 1 7 4